The following is a simulated powder X-ray diffraction pattern of NdTmSbTe. It was derived from a DFT-relaxed cell (GGA-PBE, Alexandria), using λ = 1.5418 Å (Cu Kα).
Intensities are scaled so that the largest is 100.

Cell and atoms:
Cell: 4.4105 4.4105 21.7823 Å, 90.00 90.00 120.00°
Positions (direct):
Nd: 0.0000 0.0000 0.0000
Nd: 0.3333 0.6667 0.6667
Nd: 0.6667 0.3333 0.3333
Tm: 0.0000 0.0000 0.5074
Tm: 0.3333 0.6667 0.1741
Tm: 0.6667 0.3333 0.8408
Sb: 0.0000 0.0000 0.2489
Sb: 0.3333 0.6667 0.9156
Sb: 0.6667 0.3333 0.5823
Te: 0.0000 0.0000 0.7585
Te: 0.3333 0.6667 0.4252
Te: 0.6667 0.3333 0.0918

Peak list (10 most intense, 10 to 90 degrees two-theta, sorted by position)
| d/Å | two_theta | Rel. int. |
| --- | --- | --- |
| 3.127 | 28.54 | 100 |
| 2.217 | 40.69 | 37 |
| 2.205 | 40.92 | 38 |
| 1.815 | 50.26 | 6 |
| 1.802 | 50.65 | 20 |
| 1.564 | 59.08 | 12 |
| 1.401 | 66.74 | 16 |
| 1.395 | 67.07 | 17 |
| 1.275 | 74.37 | 12 |
| 1.273 | 74.53 | 6 |

The following is a simulated powder X-ray diffraction pattern of TlMo3P3. It was derived from a DFT-relaxed cell (GGA-PBE, Alexandria), using λ = 1.5418 Å (Cu Kα).
Intensities are scaled so that the largest is 100.

Cell and atoms:
Cell: 7.4677 4.5613 8.1510 Å, 90.00 111.35 90.00°
Positions (direct):
Tl: 0.1732 0.2500 0.3944
Tl: 0.8268 0.7500 0.6056
Mo: 0.2097 0.7500 0.9524
Mo: 0.3451 0.2500 0.8107
Mo: 0.4192 0.2500 0.1540
Mo: 0.5808 0.7500 0.8460
Mo: 0.6549 0.7500 0.1893
Mo: 0.7903 0.2500 0.0476
P: 0.0769 0.2500 0.9423
P: 0.2428 0.7500 0.6608
P: 0.3755 0.7500 0.2701
P: 0.6245 0.2500 0.7299
P: 0.7572 0.2500 0.3392
P: 0.9231 0.7500 0.0577

Peak list (10 most intense, 10 to 90 degrees two-theta, sorted by position)
| d/Å | two_theta | Rel. int. |
| --- | --- | --- |
| 3.814 | 23.32 | 44 |
| 3.719 | 23.93 | 66 |
| 3.212 | 27.78 | 37 |
| 2.916 | 30.66 | 75 |
| 2.717 | 32.97 | 27 |
| 2.386 | 37.70 | 37 |
| 2.281 | 39.51 | 67 |
| 2.213 | 40.77 | 100 |
| 2.182 | 41.39 | 63 |
| 1.796 | 50.83 | 27 |

The following is a simulated powder X-ray diffraction pattern of Er5Sn2Ir. It was derived from a DFT-relaxed cell (GGA-PBE, Alexandria), using λ = 1.5418 Å (Cu Kα).
Intensities are scaled so that the largest is 100.

Cell and atoms:
Cell: 8.2035 8.2035 13.7373 Å, 90.00 90.00 140.25°
Positions (direct):
Er: 0.0515 0.9485 0.6179
Er: 0.0515 0.9485 0.8821
Er: 0.2843 0.7157 0.5945
Er: 0.2843 0.7157 0.9055
Er: 0.2860 0.7140 0.2500
Er: 0.7140 0.2860 0.7500
Er: 0.7157 0.2843 0.0945
Er: 0.7157 0.2843 0.4055
Er: 0.9485 0.0515 0.1179
Er: 0.9485 0.0515 0.3821
Sn: 0.1431 0.8569 0.0777
Sn: 0.1431 0.8569 0.4223
Sn: 0.8569 0.1431 0.5777
Sn: 0.8569 0.1431 0.9223
Ir: 0.1777 0.8223 0.7500
Ir: 0.8223 0.1777 0.2500

Peak list (10 most intense, 10 to 90 degrees two-theta, sorted by position)
| d/Å | two_theta | Rel. int. |
| --- | --- | --- |
| 7.715 | 11.47 | 72 |
| 5.246 | 16.90 | 94 |
| 4.901 | 18.10 | 24 |
| 3.938 | 22.58 | 46 |
| 2.950 | 30.30 | 100 |
| 2.789 | 32.09 | 81 |
| 2.326 | 38.71 | 88 |
| 2.290 | 39.35 | 28 |
| 2.027 | 44.71 | 79 |
| 1.770 | 51.65 | 26 |

The following is a simulated powder X-ray diffraction pattern of Cs2YSnCl6. It was derived from a DFT-relaxed cell (GGA-PBE, Alexandria), using λ = 1.5418 Å (Cu Kα).
Intensities are scaled so that the largest is 100.

Cell and atoms:
Cell: 7.5070 10.8986 9.0696 Å, 90.00 90.00 90.00°
Positions (direct):
Cs: 0.2500 0.0022 0.2107
Cs: 0.2500 0.4978 0.2107
Cs: 0.7500 0.5022 0.7893
Cs: 0.7500 0.9978 0.7893
Y: 0.2500 0.7500 0.7702
Y: 0.7500 0.2500 0.2298
Sn: 0.2500 0.2500 0.7236
Sn: 0.7500 0.7500 0.2764
Cl: 0.0036 0.7500 0.9816
Cl: 0.0060 0.2500 0.4261
Cl: 0.2500 0.5051 0.7860
Cl: 0.2500 0.9949 0.7860
Cl: 0.4940 0.2500 0.4261
Cl: 0.4964 0.7500 0.9816
Cl: 0.5036 0.2500 0.0184
Cl: 0.5060 0.7500 0.5739
Cl: 0.7500 0.0051 0.2140
Cl: 0.7500 0.4949 0.2140
Cl: 0.9940 0.7500 0.5739
Cl: 0.9964 0.2500 0.0184

Peak list (10 most intense, 10 to 90 degrees two-theta, sorted by position)
| d/Å | two_theta | Rel. int. |
| --- | --- | --- |
| 4.535 | 19.58 | 33 |
| 3.966 | 22.42 | 100 |
| 3.754 | 23.70 | 23 |
| 3.091 | 28.88 | 13 |
| 2.892 | 30.93 | 55 |
| 2.725 | 32.87 | 30 |
| 2.494 | 36.02 | 21 |
| 2.205 | 40.92 | 33 |
| 1.983 | 45.76 | 35 |
| 1.733 | 52.82 | 15 |

The following is a simulated powder X-ray diffraction pattern of Na3LiPu3Se8. It was derived from a DFT-relaxed cell (GGA-PBE, Alexandria), using λ = 1.5418 Å (Cu Kα).
Intensities are scaled so that the largest is 100.

Cell and atoms:
Cell: 8.3870 8.3870 8.3870 Å, 58.83 58.83 58.83°
Positions (direct):
Na: 0.0000 0.5000 0.5000
Na: 0.5000 0.0000 0.5000
Na: 0.5000 0.5000 0.0000
Li: 0.5000 0.5000 0.5000
Pu: 0.0000 0.0000 0.5000
Pu: 0.0000 0.5000 0.0000
Pu: 0.5000 0.0000 0.0000
Se: 0.2322 0.7434 0.7434
Se: 0.2444 0.2444 0.2444
Se: 0.2566 0.2566 0.7678
Se: 0.2566 0.7678 0.2566
Se: 0.7434 0.2322 0.7434
Se: 0.7434 0.7434 0.2322
Se: 0.7556 0.7556 0.7556
Se: 0.7678 0.2566 0.2566

Peak list (10 most intense, 10 to 90 degrees two-theta, sorted by position)
| d/Å | two_theta | Rel. int. |
| --- | --- | --- |
| 6.908 | 12.81 | 69 |
| 5.876 | 15.08 | 17 |
| 3.515 | 25.34 | 28 |
| 2.938 | 30.42 | 100 |
| 2.278 | 39.56 | 20 |
| 2.096 | 43.16 | 36 |
| 2.060 | 43.97 | 37 |
| 1.973 | 45.99 | 20 |
| 1.686 | 54.40 | 19 |
| 1.305 | 72.43 | 17 |

The following is a simulated powder X-ray diffraction pattern of Ho3Ga2Ru. It was derived from a DFT-relaxed cell (GGA-PBE, Alexandria), using λ = 1.5418 Å (Cu Kα).
Intensities are scaled so that the largest is 100.

Cell and atoms:
Cell: 11.8563 4.2751 10.9793 Å, 90.00 90.00 90.00°
Positions (direct):
Ho: 0.0516 0.2500 0.1189
Ho: 0.1182 0.7500 0.5557
Ho: 0.2330 0.2500 0.7947
Ho: 0.2670 0.7500 0.2947
Ho: 0.3818 0.2500 0.0557
Ho: 0.4484 0.7500 0.6189
Ho: 0.5516 0.2500 0.3811
Ho: 0.6182 0.7500 0.9443
Ho: 0.7330 0.2500 0.7053
Ho: 0.7670 0.7500 0.2053
Ho: 0.8818 0.2500 0.4443
Ho: 0.9484 0.7500 0.8811
Ga: 0.0078 0.7500 0.3023
Ga: 0.1955 0.7500 0.9972
Ga: 0.3045 0.2500 0.4972
Ga: 0.4922 0.2500 0.8023
Ga: 0.5078 0.7500 0.1977
Ga: 0.6955 0.7500 0.5028
Ga: 0.8045 0.2500 0.0028
Ga: 0.9922 0.2500 0.6977
Ru: 0.1183 0.2500 0.3704
Ru: 0.3817 0.7500 0.8704
Ru: 0.6183 0.2500 0.1296
Ru: 0.8817 0.7500 0.6296

Peak list (10 most intense, 10 to 90 degrees two-theta, sorted by position)
| d/Å | two_theta | Rel. int. |
| --- | --- | --- |
| 3.307 | 26.97 | 44 |
| 3.207 | 27.82 | 27 |
| 2.932 | 30.49 | 36 |
| 2.780 | 32.20 | 100 |
| 2.674 | 33.51 | 27 |
| 2.608 | 34.38 | 28 |
| 2.566 | 34.97 | 56 |
| 2.378 | 37.83 | 52 |
| 2.152 | 41.98 | 27 |
| 2.138 | 42.28 | 54 |

The following is a simulated powder X-ray diffraction pattern of UTl2PO6. It was derived from a DFT-relaxed cell (GGA-PBE, Alexandria), using λ = 1.5418 Å (Cu Kα).
Intensities are scaled so that the largest is 100.

Cell and atoms:
Cell: 6.6413 6.6413 6.6413 Å, 130.59 130.59 72.47°
Positions (direct):
U: 0.0000 0.0000 0.0000
Tl: 0.2500 0.7500 0.5000
Tl: 0.7500 0.2500 0.5000
P: 0.5000 0.5000 0.0000
O: 0.1814 0.1814 0.0000
O: 0.2934 0.2934 0.5868
O: 0.2934 0.7066 0.0000
O: 0.7066 0.2934 0.0000
O: 0.7066 0.7066 0.4132
O: 0.8186 0.8186 0.0000

Peak list (10 most intense, 10 to 90 degrees two-theta, sorted by position)
| d/Å | two_theta | Rel. int. |
| --- | --- | --- |
| 4.929 | 18.00 | 25 |
| 3.166 | 28.18 | 100 |
| 2.776 | 32.25 | 35 |
| 2.679 | 33.45 | 20 |
| 1.963 | 46.26 | 17 |
| 1.927 | 47.15 | 22 |
| 1.668 | 55.05 | 31 |
| 1.625 | 56.63 | 17 |
| 1.583 | 58.28 | 16 |
| 1.252 | 76.02 | 14 |

The following is a simulated powder X-ray diffraction pattern of Re2AgOs. It was derived from a DFT-relaxed cell (GGA-PBE, Alexandria), using λ = 1.5418 Å (Cu Kα).
Intensities are scaled so that the largest is 100.

Cell and atoms:
Cell: 2.7597 4.0048 5.5293 Å, 90.00 90.00 90.00°
Positions (direct):
Re: 0.0000 0.0000 0.2311
Re: 0.0000 0.0000 0.7689
Ag: 0.5000 0.5000 0.5000
Os: 0.5000 0.5000 0.0000

Peak list (10 most intense, 10 to 90 degrees two-theta, sorted by position)
| d/Å | two_theta | Rel. int. |
| --- | --- | --- |
| 5.529 | 16.03 | 7 |
| 2.274 | 39.64 | 100 |
| 2.002 | 45.29 | 17 |
| 1.953 | 46.50 | 31 |
| 1.398 | 66.92 | 21 |
| 1.380 | 67.93 | 5 |
| 1.202 | 79.79 | 13 |
| 1.180 | 81.55 | 23 |
| 1.138 | 85.32 | 5 |
| 1.136 | 85.45 | 6 |

The following is a simulated powder X-ray diffraction pattern of BaSiAs3. It was derived from a DFT-relaxed cell (GGA-PBE, Alexandria), using λ = 1.5418 Å (Cu Kα).
Intensities are scaled so that the largest is 100.

Cell and atoms:
Cell: 6.5915 6.8377 7.1915 Å, 82.42 64.98 78.54°
Positions (direct):
Ba: 0.0000 0.0000 0.0000
Ba: 0.2753 0.3944 0.3861
Si: 0.5687 0.2947 0.7945
Si: 0.6419 0.7944 0.7684
As: 0.2213 0.5229 0.8677
As: 0.4123 0.7732 0.5840
As: 0.4808 0.0204 0.0358
As: 0.7399 0.4839 0.9295
As: 0.7920 0.2302 0.4415
As: 0.9720 0.8931 0.5022

Peak list (10 most intense, 10 to 90 degrees two-theta, sorted by position)
| d/Å | two_theta | Rel. int. |
| --- | --- | --- |
| 4.544 | 19.53 | 38 |
| 3.254 | 27.41 | 75 |
| 3.166 | 28.19 | 44 |
| 3.043 | 29.35 | 73 |
| 2.990 | 29.88 | 74 |
| 2.912 | 30.70 | 46 |
| 2.871 | 31.15 | 100 |
| 2.822 | 31.71 | 70 |
| 2.552 | 35.16 | 53 |
| 2.034 | 44.54 | 37 |

The following is a simulated powder X-ray diffraction pattern of K3Pm2NdSe6. It was derived from a DFT-relaxed cell (GGA-PBE, Alexandria), using λ = 1.5418 Å (Cu Kα).
Intensities are scaled so that the largest is 100.

Cell and atoms:
Cell: 7.4993 7.4993 8.0994 Å, 98.88 98.88 120.00°
Positions (direct):
K: 0.0000 0.0000 0.0000
K: 0.3334 0.6666 0.0000
K: 0.6666 0.3334 0.0000
Pm: 0.1667 0.8333 0.5000
Pm: 0.8333 0.1667 0.5000
Nd: 0.5000 0.5000 0.5000
Se: 0.0949 0.4299 0.2897
Se: 0.2351 0.2351 0.7103
Se: 0.4299 0.0949 0.2897
Se: 0.5701 0.9051 0.7103
Se: 0.7649 0.7649 0.2897
Se: 0.9051 0.5701 0.7103

Peak list (10 most intense, 10 to 90 degrees two-theta, sorted by position)
| d/Å | two_theta | Rel. int. |
| --- | --- | --- |
| 7.704 | 11.49 | 48 |
| 3.701 | 24.04 | 11 |
| 3.145 | 28.37 | 100 |
| 2.478 | 36.25 | 17 |
| 2.288 | 39.37 | 35 |
| 2.165 | 41.72 | 36 |
| 2.084 | 43.42 | 12 |
| 1.783 | 51.23 | 19 |
| 1.439 | 64.79 | 12 |
| 1.376 | 68.12 | 16 |

The following is a simulated powder X-ray diffraction pattern of La5Sm2Mg. It was derived from a DFT-relaxed cell (GGA-PBE, Alexandria), using λ = 1.5418 Å (Cu Kα).
Intensities are scaled so that the largest is 100.

Cell and atoms:
Cell: 7.3399 10.2144 7.3245 Å, 90.00 90.00 90.00°
Positions (direct):
La: 0.0000 0.0000 0.0000
La: 0.2496 0.2497 0.2501
La: 0.2504 0.2503 0.7501
La: 0.2496 0.7503 0.2501
La: 0.2504 0.7497 0.7501
La: 0.5000 0.5000 0.5000
La: 0.7504 0.2497 0.2501
La: 0.7496 0.2503 0.7501
La: 0.7504 0.7503 0.2501
La: 0.7496 0.7497 0.7501
Sm: 0.0000 0.0000 0.5004
Sm: 0.0000 0.5000 0.0007
Sm: 0.5000 0.0000 0.5007
Sm: 0.5000 0.5000 0.0004
Mg: 0.0000 0.5000 0.4999
Mg: 0.5000 0.0000 0.9999

Peak list (10 most intense, 10 to 90 degrees two-theta, sorted by position)
| d/Å | two_theta | Rel. int. |
| --- | --- | --- |
| 5.956 | 14.87 | 8 |
| 2.978 | 30.00 | 100 |
| 2.592 | 34.60 | 34 |
| 2.554 | 35.14 | 16 |
| 1.835 | 49.69 | 6 |
| 1.819 | 50.15 | 24 |
| 1.561 | 59.19 | 29 |
| 1.544 | 59.91 | 14 |
| 1.489 | 62.36 | 12 |
| 1.181 | 81.51 | 12 |

The following is a simulated powder X-ray diffraction pattern of Pb12BrCl7O8. It was derived from a DFT-relaxed cell (GGA-PBE, Alexandria), using λ = 1.5418 Å (Cu Kα).
Intensities are scaled so that the largest is 100.

Cell and atoms:
Cell: 10.0227 5.9611 12.0552 Å, 90.00 90.17 90.00°
Positions (direct):
Pb: 0.0000 0.0000 0.0000
Pb: 0.0612 0.0000 0.2972
Pb: 0.2110 0.5000 0.1317
Pb: 0.2765 0.5000 0.4278
Pb: 0.3460 0.0000 0.7689
Pb: 0.4249 0.0000 0.2745
Pb: 0.4918 0.5000 0.9256
Pb: 0.5628 0.5000 0.6300
Pb: 0.7094 0.0000 0.7975
Pb: 0.7805 0.0000 0.5019
Pb: 0.8475 0.5000 0.1570
Pb: 0.9257 0.5000 0.6586
Br: 0.7103 0.0000 0.0886
Cl: 0.0450 0.0000 0.5867
Cl: 0.2269 0.5000 0.8400
Cl: 0.3166 0.0000 0.0159
Cl: 0.4460 0.0000 0.5191
Cl: 0.5425 0.5000 0.3433
Cl: 0.8271 0.5000 0.9087
Cl: 0.9469 0.5000 0.4099
O: 0.0236 0.2543 0.1367
O: 0.0236 0.7457 0.1367
O: 0.2482 0.2455 0.2917
O: 0.2482 0.7545 0.2917
O: 0.5219 0.2451 0.7899
O: 0.5219 0.7549 0.7899
O: 0.7500 0.2550 0.6376
O: 0.7500 0.7450 0.6376

Peak list (10 most intense, 10 to 90 degrees two-theta, sorted by position)
| d/Å | two_theta | Rel. int. |
| --- | --- | --- |
| 7.707 | 11.48 | 69 |
| 3.904 | 22.78 | 72 |
| 3.655 | 24.35 | 74 |
| 3.162 | 28.22 | 68 |
| 3.135 | 28.47 | 64 |
| 2.981 | 29.98 | 85 |
| 2.914 | 30.68 | 94 |
| 2.833 | 31.58 | 51 |
| 2.690 | 33.31 | 100 |
| 2.160 | 41.82 | 67 |

The following is a simulated powder X-ray diffraction pattern of SrNb2Ni. It was derived from a DFT-relaxed cell (GGA-PBE, Alexandria), using λ = 1.5418 Å (Cu Kα).
Intensities are scaled so that the largest is 100.

Cell and atoms:
Cell: 4.9156 4.9156 17.8966 Å, 90.00 90.00 90.00°
Positions (direct):
Sr: 0.0000 0.2500 0.3750
Sr: 0.0000 0.7500 0.6250
Sr: 0.5000 0.2500 0.1250
Sr: 0.5000 0.7500 0.8750
Nb: 0.0000 0.0000 0.0000
Nb: 0.0000 0.5000 0.0000
Nb: 0.2500 0.2500 0.7500
Nb: 0.2500 0.7500 0.2500
Nb: 0.5000 0.0000 0.5000
Nb: 0.5000 0.5000 0.5000
Nb: 0.7500 0.2500 0.7500
Nb: 0.7500 0.7500 0.2500
Ni: 0.0000 0.2500 0.8750
Ni: 0.0000 0.7500 0.1250
Ni: 0.5000 0.2500 0.6250
Ni: 0.5000 0.7500 0.3750

Peak list (10 most intense, 10 to 90 degrees two-theta, sorted by position)
| d/Å | two_theta | Rel. int. |
| --- | --- | --- |
| 4.740 | 18.72 | 71 |
| 3.794 | 23.45 | 80 |
| 3.240 | 27.53 | 100 |
| 2.894 | 30.90 | 39 |
| 2.370 | 37.97 | 65 |
| 2.265 | 39.81 | 46 |
| 2.237 | 40.32 | 44 |
| 2.182 | 41.38 | 35 |
| 1.897 | 47.96 | 33 |
| 1.620 | 56.83 | 63 |